Structure and computed XRD peak list of Pr4Tl3In (a DFT-relaxed cell (GGA-PBE, Alexandria); Cu Ka).
Peak positions follow from Bragg's law for the DFT cell and can differ from measured ones.

Most intense lines, 2θ from 5° to 70°, in order of rising 2θ:
2θ (°)  I/Imax
28.3  100
29.8  31
35.4  88
35.9  23
38.0  29
39.7  26
49.1  16
56.2  19

Cell and atoms:
a = 4.537 Å, b = 4.731 Å, c = 11.985 Å
α = 90.00°, β = 90.00°, γ = 90.00°
Space group Pmm2 (No. 25)
Asymmetric unit:
Pr1 0.000 0.000 0.000
Pr2 0.000 0.500 0.497
Pr3 0.500 0.000 0.725
Pr4 0.500 0.500 0.224
Tl1 0.000 0.500 0.772
Tl2 0.500 0.000 0.448
Tl3 0.500 0.500 0.950
In1 0.000 0.000 0.279

---

Structure and computed XRD peak list of Pm2Nd5Er2 (a DFT-relaxed cell (GGA-PBE, Alexandria); Cu Ka).
Peak positions follow from Bragg's law for the DFT cell and can differ from measured ones.

Most intense lines, 2θ from 5° to 70°, in order of rising 2θ:
2θ (°)  I/Imax
30.1  100
34.9  51
50.2  36
59.6  43
62.6  12

Cell and atoms:
a = 11.507 Å, b = 5.143 Å, c = 10.901 Å
α = 90.00°, β = 108.45°, γ = 90.00°
Space group C2/m (No. 12)
Asymmetric unit:
Pm1 0.001 0.000 0.168
Nd1 0.000 0.000 0.500
Nd2 0.167 0.500 0.055
Nd3 0.167 0.500 0.389
Er1 0.167 0.500 0.723

---

Structure and computed XRD peak list of Ba6Ca2TaRu3O18 (a DFT-relaxed cell (GGA-PBE, Alexandria); Cu Ka).
Peak positions follow from Bragg's law for the DFT cell and can differ from measured ones.

Most intense lines, 2θ from 5° to 70°, in order of rising 2θ:
2θ (°)  I/Imax
24.7  22
29.4  59
29.8  100
39.1  17
42.4  36
52.6  22
52.8  20
61.8  19

Cell and atoms:
a = 6.0009 Å, b = 6.0009 Å, c = 14.9576 Å
α = 90.00°, β = 90.00°, γ = 120.00°
Space group P3m1 (No. 156)
Asymmetric unit:
Ba1 0.0000 0.0000 0.0000
Ba2 0.0000 0.0000 0.3003
Ba3 0.3333 0.6667 0.1418
Ba4 0.3333 0.6667 0.6372
Ba5 0.6667 0.3333 0.4948
Ba6 0.6667 0.3333 0.8010
Ca1 0.3333 0.6667 0.3884
Ca2 0.3333 0.6667 0.8892
Ta1 0.0000 0.0000 0.7330
Ru1 0.0000 0.0000 0.5440
Ru2 0.6667 0.3333 0.0456
Ru3 0.6667 0.3333 0.2309
O1 0.1558 0.3115 0.4754
O2 0.1605 0.3211 0.7951
O3 0.2997 0.1499 0.6351
O4 0.3671 0.1835 0.1375
O5 0.5089 0.0179 0.2958
O6 0.5109 0.0219 0.9777

---

Structure and computed XRD peak list of Na2ScAgI6 (a DFT-relaxed cell (GGA-PBE, Alexandria); Cu Ka).
Peak positions follow from Bragg's law for the DFT cell and can differ from measured ones.

Most intense lines, 2θ from 5° to 70°, in order of rising 2θ:
2θ (°)  I/Imax
24.2  28
25.8  100
33.4  21
39.9  29
43.5  23
47.2  21
48.1  13
65.3  9

Cell and atoms:
a = 7.8334 Å, b = 7.8334 Å, c = 22.1090 Å
α = 90.00°, β = 90.00°, γ = 120.00°
Space group R3 (No. 146, hexagonal axes)
Asymmetric unit:
Na1 0.0000 0.0000 0.0000
Na2 0.0000 0.0000 0.4811
Sc1 0.0000 0.0000 0.6784
Ag1 0.0000 0.0000 0.2652
I1 0.0006 0.7053 0.5896
I2 0.0143 0.3134 0.7461

---

Structure and computed XRD peak list of PrTlAu (a DFT-relaxed cell (GGA-PBE, Alexandria); Cu Ka).
Peak positions follow from Bragg's law for the DFT cell and can differ from measured ones.

Most intense lines, 2θ from 5° to 70°, in order of rising 2θ:
2θ (°)  I/Imax
26.3  81
32.0  63
32.1  57
35.7  100
36.5  70
37.2  53
40.1  59
45.3  43

Cell and atoms:
a = 9.686 Å, b = 4.001 Å, c = 8.516 Å
α = 90.00°, β = 90.67°, γ = 90.00°
Space group C2/m (No. 12)
Asymmetric unit:
Pr1 0.064 0.000 0.214
Tl1 0.147 0.500 0.575
Au1 0.146 0.500 0.947

---

Structure and computed XRD peak list of Na2MgGa6 (a DFT-relaxed cell (GGA-PBE, Alexandria); Cu Ka).
Peak positions follow from Bragg's law for the DFT cell and can differ from measured ones.

Most intense lines, 2θ from 5° to 70°, in order of rising 2θ:
2θ (°)  I/Imax
22.7  34
26.3  51
35.0  95
39.8  100
46.3  5
48.3  57
54.0  39
69.2  60

Cell and atoms:
a = 7.8481 Å, b = 7.8481 Å, c = 3.3931 Å
α = 90.00°, β = 90.00°, γ = 120.00°
Space group P6/mmm (No. 191)
Asymmetric unit:
Na1 0.3333 0.6667 0.0000
Mg1 0.0000 0.0000 0.0000
Ga1 0.0000 0.3294 0.5000